This entry pairs a crystal structure of Tm2ZrAu6 with its theoretical PXRD pattern. Radiation: Cu Ka. Structure: the GGA-PBE geometry in Alexandria.
Intensities are scaled so that the largest is 100.

Crystal structure
Cell lengths 13.606, 10.783, 5.143 Å; angles 90.00, 101.06, 90.00 degrees
Space group C2/c (No. 15)
Inequivalent atoms, fractional coordinates:
Tm1 0.167 0.124 0.084
Zr1 0.000 0.376 0.250
Au1 0.058 0.131 0.523
Au2 0.108 0.378 0.807
Au3 0.219 0.374 0.356

Peak list (12 most intense, 10° ≤ 2θ ≤ 90°, sorted by position)
(0 4 0), 33.23 deg, rel. 61.1; (5 1 -1), 35.89 deg, rel. 100.0; (4 2 1), 38.86 deg, rel. 80.4; (1 3 -2), 43.25 deg, rel. 59.5; (5 5 -1), 55.61 deg, rel. 28.4; (4 6 1), 63.15 deg, rel. 19.4; (3 1 3), 63.30 deg, rel. 19.3; (6 2 -3), 65.10 deg, rel. 17.7; (9 3 0), 68.43 deg, rel. 15.3; (1 7 -2), 71.37 deg, rel. 13.5; (2 0 -4), 73.65 deg, rel. 12.5; (2 4 -4), 83.23 deg, rel. 18.3


This entry pairs a crystal structure of U4Au with its theoretical PXRD pattern. Radiation: Cu Ka. Structure: the GGA-PBE geometry in Alexandria.
Intensities are scaled so that the largest is 100.

Crystal structure
Cell lengths 5.513, 5.513, 5.513 Å; angles 90.00, 90.00, 90.00 degrees
Space group Pm-3m (No. 221)
Inequivalent atoms, fractional coordinates:
U1 0.000 0.000 0.000
U2 0.000 0.500 0.500
Au1 0.500 0.500 0.500

Peak list (12 most intense, 10° ≤ 2θ ≤ 90°, sorted by position)
(1 0 0), 16.08 deg, rel. 17.0; (1 1 0), 22.81 deg, rel. 15.3; (1 1 1), 28.03 deg, rel. 79.5; (2 0 0), 32.48 deg, rel. 100.0; (2 1 0), 36.44 deg, rel. 9.5; (2 2 0), 46.60 deg, rel. 75.1; (3 1 1), 55.26 deg, rel. 38.1; (2 2 2), 57.95 deg, rel. 26.7; (4 0 0), 68.02 deg, rel. 12.7; (3 3 1), 75.11 deg, rel. 16.4; (4 2 0), 77.42 deg, rel. 36.1; (4 2 2), 86.48 deg, rel. 28.5


This entry pairs a crystal structure of UAu12 with its theoretical PXRD pattern. Radiation: Cu Ka. Structure: the GGA-PBE geometry in Alexandria.
Intensities are scaled so that the largest is 100.

Crystal structure
Cell lengths 11.404, 11.404, 11.404 Å; angles 90.00, 90.00, 90.00 degrees
Space group Fm-3m (No. 225)
Inequivalent atoms, fractional coordinates:
U1 0.000 0.000 0.000
Au1 0.000 0.170 0.330

Peak list (12 most intense, 10° ≤ 2θ ≤ 90°, sorted by position)
(1 1 1), 13.45 deg, rel. 24.3; (2 2 0), 22.05 deg, rel. 17.4; (3 1 1), 25.91 deg, rel. 100.0; (2 2 2), 27.09 deg, rel. 37.3; (4 2 2), 38.68 deg, rel. 36.7; (3 3 3), 41.13 deg, rel. 78.6; (5 3 1), 47.15 deg, rel. 45.2; (6 0 0), 47.86 deg, rel. 67.5; (5 5 3), 62.56 deg, rel. 26.8; (6 6 0), 70.00 deg, rel. 42.7; (7 5 3), 76.03 deg, rel. 15.7; (9 3 3), 84.54 deg, rel. 28.9


This entry pairs a crystal structure of UZn2Au2 with its theoretical PXRD pattern. Radiation: Cu Ka. Structure: the GGA-PBE geometry in Alexandria.
Intensities are scaled so that the largest is 100.

Crystal structure
Cell lengths 6.304, 6.428, 4.783 Å; angles 90.00, 90.00, 90.00 degrees
Space group Pnnm (No. 58)
Inequivalent atoms, fractional coordinates:
U1 0.000 0.000 0.000
Zn1 0.195 0.474 0.000
Au1 0.037 0.290 0.500

Peak list (12 most intense, 10° ≤ 2θ ≤ 90°, sorted by position)
(0 1 1), 23.18 deg, rel. 13.9; (2 0 0), 28.31 deg, rel. 28.5; (1 2 1), 36.57 deg, rel. 100.0; (2 1 1), 36.90 deg, rel. 47.0; (0 0 2), 37.61 deg, rel. 36.5; (1 3 0), 44.67 deg, rel. 15.6; (2 0 2), 47.73 deg, rel. 14.3; (3 2 1), 55.68 deg, rel. 11.7; (1 3 2), 59.77 deg, rel. 15.1; (1 2 3), 67.20 deg, rel. 17.4; (3 3 2), 74.70 deg, rel. 12.2; (2 5 1), 83.72 deg, rel. 11.0


This entry pairs a crystal structure of UZnAu6 with its theoretical PXRD pattern. Radiation: Cu Ka. Structure: the GGA-PBE geometry in Alexandria.
Intensities are scaled so that the largest is 100.

Crystal structure
Cell lengths 8.423, 4.770, 8.381 Å; angles 90.00, 114.17, 90.00 degrees
Space group C2/m (No. 12)
Inequivalent atoms, fractional coordinates:
U1 0.000 0.000 0.000
Zn1 0.000 0.500 0.500
Au1 0.103 0.500 0.840
Au2 0.142 0.000 0.401
Au3 0.245 0.000 0.773

Peak list (12 most intense, 10° ≤ 2θ ≤ 90°, sorted by position)
(1 1 2), 35.59 deg, rel. 15.8; (3 1 -1), 37.25 deg, rel. 100.0; (1 1 -3), 37.41 deg, rel. 85.9; (0 2 0), 37.72 deg, rel. 49.9; (2 0 2), 39.47 deg, rel. 34.7; (4 0 -4), 51.85 deg, rel. 17.1; (2 2 2), 55.74 deg, rel. 25.7; (4 2 -4), 65.87 deg, rel. 16.8; (3 3 -1), 67.83 deg, rel. 33.2; (5 1 1), 70.04 deg, rel. 11.6; (6 2 -2), 79.41 deg, rel. 10.6; (7 1 -5), 88.12 deg, rel. 8.9


This entry pairs a crystal structure of UZn3Au3 with its theoretical PXRD pattern. Radiation: Cu Ka. Structure: the GGA-PBE geometry in Alexandria.
Intensities are scaled so that the largest is 100.

Crystal structure
Cell lengths 6.988, 6.988, 6.988 Å; angles 90.00, 90.00, 90.00 degrees
Space group Pm-3n (No. 223)
Inequivalent atoms, fractional coordinates:
U1 0.000 0.000 0.000
Zn1 0.000 0.250 0.500
Au1 0.000 0.500 0.250

Peak list (12 most intense, 10° ≤ 2θ ≤ 90°, sorted by position)
(2 0 0), 25.49 deg, rel. 41.9; (2 1 0), 28.56 deg, rel. 32.4; (2 1 1), 31.36 deg, rel. 100.0; (2 2 2), 44.94 deg, rel. 17.1; (3 2 0), 46.88 deg, rel. 8.9; (3 2 1), 48.76 deg, rel. 59.5; (4 0 0), 52.37 deg, rel. 26.1; (4 2 0), 59.13 deg, rel. 16.8; (3 3 2), 62.33 deg, rel. 14.4; (5 2 1), 74.35 deg, rel. 17.5; (4 4 0), 77.23 deg, rel. 16.9; (6 1 1), 85.70 deg, rel. 18.8


This entry pairs a crystal structure of U2Zn12Au5 with its theoretical PXRD pattern. Radiation: Cu Ka. Structure: the GGA-PBE geometry in Alexandria.
Intensities are scaled so that the largest is 100.

Crystal structure
Cell lengths 9.2999, 9.2999, 13.2870 Å; angles 90.00, 90.00, 120.00 degrees
Space group R-3m (No. 166, hexagonal axes)
Inequivalent atoms, fractional coordinates:
U1 0.0000 0.0000 0.1559
Zn1 0.0000 0.3068 0.5000
Zn2 0.0156 0.5078 0.6556
Au1 0.0000 0.0000 0.3911
Au2 0.0000 0.5000 0.0000

Peak list (12 most intense, 10° ≤ 2θ ≤ 90°, sorted by position)
(0 2 1), 23.08 deg, rel. 18.5; (1 1 3), 27.82 deg, rel. 25.4; (1 0 4), 29.08 deg, rel. 39.3; (3 0 0), 33.38 deg, rel. 43.5; (2 2 0), 38.73 deg, rel. 100.0; (0 3 3), 39.24 deg, rel. 68.7; (2 1 4), 40.18 deg, rel. 47.8; (0 0 6), 40.71 deg, rel. 62.1; (2 2 3), 43.99 deg, rel. 43.7; (2 2 6), 57.46 deg, rel. 29.4; (6 0 0), 70.10 deg, rel. 28.5; (0 3 9), 73.16 deg, rel. 24.2


This entry pairs a crystal structure of UZn4Au2 with its theoretical PXRD pattern. Radiation: Cu Ka. Structure: the GGA-PBE geometry in Alexandria.
Intensities are scaled so that the largest is 100.

Crystal structure
Cell lengths 20.932, 4.141, 2.885 Å; angles 90.00, 97.84, 90.00 degrees
Space group C2/m (No. 12)
Inequivalent atoms, fractional coordinates:
U1 0.000 0.000 0.000
Zn1 0.152 0.000 0.152
Zn2 0.230 0.500 0.230
Au1 0.095 0.500 0.595

Peak list (12 most intense, 10° ≤ 2θ ≤ 90°, sorted by position)
(3 1 0), 25.07 deg, rel. 16.7; (5 1 0), 30.51 deg, rel. 58.8; (7 1 0), 37.32 deg, rel. 52.4; (4 0 1), 38.00 deg, rel. 100.0; (1 1 1), 39.03 deg, rel. 44.8; (5 1 -1), 41.96 deg, rel. 15.2; (0 2 0), 43.71 deg, rel. 37.9; (6 0 1), 43.80 deg, rel. 15.4; (4 2 1), 59.27 deg, rel. 48.0; (11 1 1), 67.05 deg, rel. 16.7; (5 1 2), 77.05 deg, rel. 12.7; (2 2 -2), 81.28 deg, rel. 11.6


This entry pairs a crystal structure of U2Zn12Au7 with its theoretical PXRD pattern. Radiation: Cu Ka. Structure: the GGA-PBE geometry in Alexandria.
Intensities are scaled so that the largest is 100.

Crystal structure
Cell lengths 10.5298, 10.5298, 4.0675 Å; angles 90.00, 90.00, 120.00 degrees
Space group P-3 (No. 147)
Inequivalent atoms, fractional coordinates:
U1 0.3333 0.6667 0.2480
Zn1 0.0418 0.4312 0.7500
Zn2 0.1102 0.2640 0.2443
Au1 0.0000 0.0000 0.5000
Au2 0.1366 0.7151 0.7502

Peak list (12 most intense, 10° ≤ 2θ ≤ 90°, sorted by position)
(2 1 0), 25.85 deg, rel. 36.5; (0 2 1), 29.42 deg, rel. 43.9; (2 1 1), 34.09 deg, rel. 100.0; (3 0 1), 36.92 deg, rel. 20.7; (4 -3 1), 42.07 deg, rel. 36.5; (0 0 2), 44.55 deg, rel. 20.1; (1 4 0), 45.59 deg, rel. 55.4; (3 2 1), 48.98 deg, rel. 23.4; (4 -1 2), 58.19 deg, rel. 14.3; (5 1 1), 61.02 deg, rel. 13.9; (1 4 2), 65.64 deg, rel. 23.5; (7 -3 1), 66.47 deg, rel. 13.6


This entry pairs a crystal structure of UZn5Au7 with its theoretical PXRD pattern. Radiation: Cu Ka. Structure: the GGA-PBE geometry in Alexandria.
Intensities are scaled so that the largest is 100.

Crystal structure
Cell lengths 5.297, 9.500, 9.180 Å; angles 90.00, 90.00, 90.00 degrees
Space group Imm2 (No. 44)
Inequivalent atoms, fractional coordinates:
U1 0.000 0.000 0.000
Zn1 0.000 0.500 0.745
Zn2 0.248 0.251 0.262
Au1 0.000 0.000 0.330
Au2 0.000 0.000 0.658
Au3 0.000 0.313 0.519
Au4 0.000 0.337 0.003
Au5 0.000 0.500 0.277

Peak list (12 most intense, 10° ≤ 2θ ≤ 90°, sorted by position)
(0 2 2), 27.02 deg, rel. 23.6; (1 3 0), 32.96 deg, rel. 82.6; (2 0 0), 33.84 deg, rel. 99.3; (1 3 2), 38.49 deg, rel. 100.0; (1 2 3), 38.93 deg, rel. 76.7; (0 0 4), 39.27 deg, rel. 67.0; (0 4 2), 42.88 deg, rel. 22.2; (2 2 2), 43.83 deg, rel. 63.5; (3 3 2), 63.66 deg, rel. 23.3; (2 6 0), 69.12 deg, rel. 39.7; (1 3 6), 70.65 deg, rel. 34.1; (4 0 0), 71.19 deg, rel. 28.6


This entry pairs a crystal structure of VAu3 with its theoretical PXRD pattern. Radiation: Cu Ka. Structure: the GGA-PBE geometry in Alexandria.
Intensities are scaled so that the largest is 100.

Crystal structure
Cell lengths 3.138, 3.138, 13.811 Å; angles 90.00, 90.00, 90.00 degrees
Space group P4/nmm (No. 129, origin choice 2)
Inequivalent atoms, fractional coordinates:
V1 0.250 0.250 0.044
Au1 0.250 0.250 0.299
Au2 0.250 0.250 0.566
Au3 0.250 0.250 0.836

Peak list (12 most intense, 10° ≤ 2θ ≤ 90°, sorted by position)
(1 0 2), 31.31 deg, rel. 6.8; (1 0 3), 34.59 deg, rel. 30.5; (1 0 4), 38.78 deg, rel. 100.0; (1 1 0), 40.66 deg, rel. 51.8; (0 0 7), 46.00 deg, rel. 9.4; (2 0 0), 58.86 deg, rel. 17.5; (1 1 7), 63.05 deg, rel. 14.9; (1 1 8), 68.92 deg, rel. 10.9; (2 1 3), 70.10 deg, rel. 8.3; (2 1 4), 72.74 deg, rel. 32.1; (2 0 7), 77.77 deg, rel. 8.3; (1 0 11), 82.80 deg, rel. 11.4


This entry pairs a crystal structure of V7Au with its theoretical PXRD pattern. Radiation: Cu Ka. Structure: the GGA-PBE geometry in Alexandria.
Intensities are scaled so that the largest is 100.

Crystal structure
Cell lengths 4.266, 4.266, 12.245 Å; angles 90.00, 90.00, 90.00 degrees
Space group I4/mmm (No. 139)
Inequivalent atoms, fractional coordinates:
V1 0.000 0.000 0.000
V2 0.000 0.000 0.245
V3 0.000 0.500 0.133
Au1 0.000 0.000 0.500

Peak list (12 most intense, 10° ≤ 2θ ≤ 90°, sorted by position)
(0 0 2), 14.47 deg, rel. 17.2; (1 0 1), 22.06 deg, rel. 36.2; (1 1 0), 29.61 deg, rel. 9.5; (1 0 3), 30.31 deg, rel. 20.5; (1 1 2), 33.11 deg, rel. 18.7; (1 1 4), 42.05 deg, rel. 100.0; (2 0 0), 42.37 deg, rel. 49.7; (2 1 1), 48.28 deg, rel. 10.2; (2 1 3), 52.98 deg, rel. 9.2; (2 2 0), 61.48 deg, rel. 15.5; (2 0 8), 76.62 deg, rel. 14.8; (3 1 4), 77.29 deg, rel. 30.3


Number 12 is which compound?
V7Au